Entry 1:
Li4Fe3Si3O12: simulated PXRD pattern (copper Kα), based on a GGA+U-relaxed structure.

Most intense lines, 15° ≤ 2θ ≤ 90°, in order of rising 2θ:
- 19.7°, intensity 100
- 29.0°, intensity 53
- 35.2°, intensity 56
- 35.4°, intensity 56
- 46.3°, intensity 9
- 50.0°, intensity 10
- 50.3°, intensity 10
- 59.0°, intensity 17
- 60.1°, intensity 17
- 71.8°, intensity 10

Cell and atoms:
Cell: 10.0466 4.3499 12.4908 Å, 90.00 110.11 90.00°
Space group C2 (No. 5)
Symmetry-distinct sites (fractional):
Li (0.1608, 0.0000, 0.4177) (multiplicity 4)
Li (0.1660, 0.0042, 0.9118) (multiplicity 4)
Fe (0.0000, 0.4965, 0.5000) (multiplicity 2)
Fe (0.1595, 0.0042, 0.1714) (multiplicity 4)
Si (0.0000, 0.4986, 0.0000) (multiplicity 2)
Si (0.1707, 0.0002, 0.6665) (multiplicity 4)
O (0.0029, 0.2704, 0.8953) (multiplicity 4)
O (0.0234, 0.1922, 0.6289) (multiplicity 4)
O (0.1430, 0.7259, 0.0395) (multiplicity 4)
O (0.1770, 0.7787, 0.5617) (multiplicity 4)
O (0.1900, 0.7906, 0.7838) (multiplicity 4)
O (0.1906, 0.7413, 0.2961) (multiplicity 4)

Entry 2:
Li7Fe7SiO16: simulated PXRD pattern (copper Kα), based on a GGA+U-relaxed structure.

Most intense lines, 15° ≤ 2θ ≤ 90°, in order of rising 2θ:
- 21.0°, intensity 84
- 22.1°, intensity 100
- 27.4°, intensity 27
- 31.8°, intensity 50
- 32.2°, intensity 28
- 35.1°, intensity 60
- 36.4°, intensity 24
- 36.5°, intensity 22
- 36.8°, intensity 21
- 63.9°, intensity 19

Cell and atoms:
Cell: 5.1108 5.5549 13.0556 Å, 89.83 89.88 89.88°
Space group P1 (No. 1)
Symmetry-distinct sites (fractional):
Li (0.0000, 0.0000, 0.0000) (multiplicity 1)
Li (0.0013, 0.0011, 0.4958) (multiplicity 1)
Li (0.0005, 0.4990, 0.6227) (multiplicity 1)
Li (0.4997, 0.3330, 0.7479) (multiplicity 1)
Li (0.5013, 0.8332, 0.8747) (multiplicity 1)
Li (0.5093, 0.8395, 0.3727) (multiplicity 1)
Li (0.9941, 0.4741, 0.1276) (multiplicity 1)
Fe (0.4970, 0.3330, 0.9976) (multiplicity 1)
Fe (0.5005, 0.8316, 0.6226) (multiplicity 1)
Fe (0.5016, 0.3351, 0.4998) (multiplicity 1)
Fe (0.5080, 0.8323, 0.1266) (multiplicity 1)
Fe (0.9963, 0.4921, 0.3676) (multiplicity 1)
Fe (0.9959, 0.5003, 0.8727) (multiplicity 1)
Fe (0.9989, 0.0003, 0.7488) (multiplicity 1)
Si (0.9998, 0.9865, 0.2501) (multiplicity 1)
O (0.0683, 0.2750, 0.2561) (multiplicity 1)
O (0.1051, 0.8295, 0.8699) (multiplicity 1)
O (0.1066, 0.3285, 0.7532) (multiplicity 1)
O (0.1106, 0.8328, 0.3515) (multiplicity 1)
O (0.1208, 0.3445, 0.9943) (multiplicity 1)
O (0.1238, 0.8465, 0.6268) (multiplicity 1)
O (0.1251, 0.3488, 0.4900) (multiplicity 1)
O (0.1298, 0.8635, 0.1450) (multiplicity 1)
O (0.6051, 0.0036, 0.0058) (multiplicity 1)
O (0.6058, 0.5029, 0.6211) (multiplicity 1)
O (0.6086, 0.0054, 0.5027) (multiplicity 1)
O (0.6172, 0.5156, 0.1086) (multiplicity 1)
O (0.6215, 0.4865, 0.8755) (multiplicity 1)
O (0.6235, 0.9875, 0.7436) (multiplicity 1)
O (0.6343, 0.5114, 0.3885) (multiplicity 1)
O (0.6817, 0.9464, 0.2454) (multiplicity 1)

Entry 3:
LiFeSiO4: simulated PXRD pattern (copper Kα), based on a GGA+U-relaxed structure.

Most intense lines, 15° ≤ 2θ ≤ 90°, in order of rising 2θ:
- 15.6°, intensity 62
- 23.6°, intensity 100
- 29.3°, intensity 27
- 31.6°, intensity 13
- 33.4°, intensity 38
- 35.5°, intensity 29
- 36.3°, intensity 15
- 37.8°, intensity 11
- 47.6°, intensity 13
- 57.4°, intensity 18

Cell and atoms:
Cell: 5.0608 5.6653 7.8626 Å, 90.00 129.27 90.00°
Space group Pc (No. 7)
Symmetry-distinct sites (fractional):
Li (0.0000, 0.1649, 0.0000) (multiplicity 2)
Fe (0.7533, 0.3402, 0.2523) (multiplicity 2)
Si (0.2539, 0.3334, 0.7489) (multiplicity 2)
O (0.0974, 0.4015, 0.2272) (multiplicity 2)
O (0.3683, 0.2089, 0.9770) (multiplicity 2)
O (0.5968, 0.3638, 0.7691) (multiplicity 2)
O (0.9670, 0.1773, 0.5263) (multiplicity 2)

Entry 4:
LiFeSiO4: simulated PXRD pattern (copper Kα), based on a GGA+U-relaxed structure.

Most intense lines, 15° ≤ 2θ ≤ 90°, in order of rising 2θ:
- 21.5°, intensity 50
- 21.6°, intensity 53
- 21.8°, intensity 100
- 27.8°, intensity 17
- 27.9°, intensity 26
- 31.6°, intensity 16
- 31.7°, intensity 24
- 34.2°, intensity 32
- 35.1°, intensity 35
- 38.8°, intensity 14

Cell and atoms:
Cell: 8.4895 5.1161 10.4826 Å, 90.00 127.79 90.00°
Space group Pc (No. 7)
Symmetry-distinct sites (fractional):
Li (0.0000, 0.0582, 0.0000) (multiplicity 2)
Li (0.4974, 0.4310, 0.0578) (multiplicity 2)
Fe (0.4951, 0.0667, 0.7386) (multiplicity 2)
Fe (0.9926, 0.4326, 0.8035) (multiplicity 2)
Si (0.2472, 0.0699, 0.3676) (multiplicity 2)
Si (0.7452, 0.4318, 0.4301) (multiplicity 2)
O (0.0462, 0.0673, 0.8281) (multiplicity 2)
O (0.2331, 0.3877, 0.3847) (multiplicity 2)
O (0.2634, 0.0034, 0.2227) (multiplicity 2)
O (0.4422, 0.0446, 0.0420) (multiplicity 2)
O (0.5489, 0.4316, 0.7659) (multiplicity 2)
O (0.7328, 0.1133, 0.4012) (multiplicity 2)
O (0.7577, 0.4999, 0.0897) (multiplicity 2)
O (0.9454, 0.4543, 0.9584) (multiplicity 2)

Entry 5:
LiFeSiO4: simulated PXRD pattern (copper Kα), based on a GGA+U-relaxed structure.

Most intense lines, 15° ≤ 2θ ≤ 90°, in order of rising 2θ:
- 15.6°, intensity 56
- 21.6°, intensity 45
- 21.8°, intensity 66
- 23.4°, intensity 100
- 29.0°, intensity 40
- 31.5°, intensity 47
- 34.6°, intensity 29
- 35.2°, intensity 45
- 36.2°, intensity 47
- 63.8°, intensity 26

Cell and atoms:
Cell: 10.3821 6.7872 5.0973 Å, 90.00 90.00 90.00°
Space group Pna2_1 (No. 33)
Symmetry-distinct sites (fractional):
Li (0.1505, 0.0063, 0.0000) (multiplicity 4)
Fe (0.1686, 0.5079, 0.0019) (multiplicity 4)
Si (0.0930, 0.2649, 0.5041) (multiplicity 4)
O (0.0625, 0.7349, 0.9447) (multiplicity 4)
O (0.1210, 0.2739, 0.8226) (multiplicity 4)
O (0.1595, 0.0623, 0.3885) (multiplicity 4)
O (0.1668, 0.4538, 0.3671) (multiplicity 4)